Record 1
The following is a computed powder X-ray diffraction pattern of Lu4MgRh. It was derived from a cell relaxed with PBE, using Cu Ka.
No peak broadening, texture or thermal motion is included.

Largest 6 diffraction maxima, in order of falling intensity, 2θ from 10° to 80°:
- (5 1 1), 2θ = 34.6°, 2.591 Å, intensity 100
- (4 2 2), 2θ = 32.6°, 2.748 Å, intensity 57
- (6 6 0), 2θ = 58.2°, 1.586 Å, intensity 53
- (3 3 1), 2θ = 28.9°, 3.088 Å, intensity 48
- (4 4 0), 2θ = 37.8°, 2.380 Å, intensity 32
- (1 1 1), 2θ = 11.4°, 7.772 Å, intensity 22

Crystal structure
Cell: 13.4607 13.4607 13.4607 Å, 90.00 90.00 90.00°
Space group F-43m (No. 216)
Inequivalent atoms, fractional coordinates:
Lu  0.0000  0.0000  0.1862 x24
Lu  0.0630  0.2500  0.7500 x24
Lu  0.0972  0.0972  0.4028 x16
Mg  0.1702  0.1702  0.1702 x16
Rh  0.1081  0.1081  0.6081 x16

---

Record 2
The following is a computed powder X-ray diffraction pattern of LuMgRh2. It was derived from a cell relaxed with PBE, using Cu Ka.
No peak broadening, texture or thermal motion is included.

Largest 6 diffraction maxima, in order of falling intensity, 2θ from 10° to 80°:
- (2 2 0), 2θ = 39.2°, 2.296 Å, intensity 100
- (4 2 2), 2θ = 71.1°, 1.326 Å, intensity 34
- (1 1 1), 2θ = 23.7°, 3.750 Å, intensity 31
- (4 0 0), 2θ = 56.7°, 1.624 Å, intensity 17
- (3 1 1), 2θ = 46.4°, 1.958 Å, intensity 16
- (3 3 1), 2θ = 62.3°, 1.490 Å, intensity 7

Crystal structure
Cell: 6.4947 6.4947 6.4947 Å, 90.00 90.00 90.00°
Space group Fm-3m (No. 225)
Inequivalent atoms, fractional coordinates:
Lu  0.0000  0.0000  0.0000 x4
Mg  0.0000  0.0000  0.5000 x4
Rh  0.2500  0.2500  0.2500 x8

---

Record 3
The following is a computed powder X-ray diffraction pattern of LuMg2V3S8. It was derived from a cell relaxed with PBE, using Cu Ka.
No peak broadening, texture or thermal motion is included.

Largest 6 diffraction maxima, in order of falling intensity, 2θ from 10° to 80°:
- (1 0 1), 2θ = 14.7°, 6.010 Å, intensity 100
- (0 2 4), 2θ = 34.4°, 2.609 Å, intensity 85
- (1 1 3), 2θ = 28.4°, 3.145 Å, intensity 69
- (2 2 0), 2θ = 49.6°, 1.838 Å, intensity 41
- (2 0 8), 2θ = 49.2°, 1.852 Å, intensity 37
- (0 1 5), 2θ = 28.2°, 3.162 Å, intensity 32

Crystal structure
Cell: 7.3518 7.3518 18.2167 Å, 90.00 90.00 120.00°
Space group R-3m (No. 166, hexagonal axes)
Inequivalent atoms, fractional coordinates:
Lu  0.0000  0.0000  0.0000 x3
Mg  0.0000  0.0000  0.3744 x6
V  0.0000  0.5000  0.5000 x9
S  0.0000  0.0000  0.2379 x6
S  0.0175  0.5087  0.7607 x18

---

Record 4
The following is a computed powder X-ray diffraction pattern of Lu3Mg2VS8. It was derived from a cell relaxed with PBE, using Cu Ka.
No peak broadening, texture or thermal motion is included.

Largest 6 diffraction maxima, in order of falling intensity, 2θ from 10° to 80°:
- (2 2 0), 2θ = 33.1°, 2.705 Å, intensity 100
- (1 1 -1), 2θ = 27.2°, 3.280 Å, intensity 76
- (1 1 1), 2θ = 14.4°, 6.170 Å, intensity 71
- (1 0 0), 2θ = 14.1°, 6.273 Å, intensity 60
- (2 -2 0), 2θ = 47.2°, 1.926 Å, intensity 30
- (4 2 2), 2θ = 47.9°, 1.899 Å, intensity 29

Crystal structure
Cell: 7.5968 7.5992 7.6165 Å, 60.88 60.75 60.85°
Space group P-1 (No. 2)
Inequivalent atoms, fractional coordinates:
Lu  0.0000  0.0000  0.0000 x1
Lu  0.0000  0.5000  0.5000 x1
Lu  0.5000  0.0000  0.5000 x1
Mg  0.3754  0.3754  0.8752 x2
V  0.0000  0.0000  0.5000 x1
S  0.2270  0.7675  0.2677 x2
S  0.2322  0.2323  0.2730 x2
S  0.2329  0.7728  0.7326 x2
S  0.2445  0.2443  0.7445 x2

---

Record 5
The following is a computed powder X-ray diffraction pattern of LuMgVS4. It was derived from a cell relaxed with PBE, using Cu Ka.
No peak broadening, texture or thermal motion is included.

Largest 6 diffraction maxima, in order of falling intensity, 2θ from 10° to 80°:
- (1 0 1), 2θ = 14.5°, 6.096 Å, intensity 100
- (1 2 1), 2θ = 27.7°, 3.217 Å, intensity 65
- (2 2 0), 2θ = 33.7°, 2.657 Å, intensity 58
- (2 2 4), 2θ = 48.6°, 1.875 Å, intensity 51
- (1 0 3), 2θ = 28.0°, 3.191 Å, intensity 45
- (3 2 1), 2θ = 44.4°, 2.038 Å, intensity 32

Crystal structure
Cell: 7.4558 7.5744 10.5881 Å, 90.00 90.00 90.00°
Space group Imma (No. 74)
Inequivalent atoms, fractional coordinates:
Lu  0.0000  0.0000  0.0000 x4
Mg  0.0000  0.2500  0.3735 x4
V  0.2500  0.2500  0.7500 x4
S  0.0000  0.0309  0.7488 x8
S  0.2455  0.2500  0.9824 x8

---

Record 6
The following is a computed powder X-ray diffraction pattern of LuMgWS4. It was derived from a cell relaxed with PBE, using Cu Ka.
No peak broadening, texture or thermal motion is included.

Largest 6 diffraction maxima, in order of falling intensity, 2θ from 10° to 80°:
- (1 0 1), 2θ = 14.3°, 6.175 Å, intensity 100
- (1 2 1), 2θ = 27.6°, 3.232 Å, intensity 55
- (2 2 0), 2θ = 33.4°, 2.682 Å, intensity 48
- (2 2 4), 2θ = 48.2°, 1.888 Å, intensity 41
- (2 0 2), 2θ = 28.9°, 3.088 Å, intensity 33
- (0 1 3), 2θ = 27.8°, 3.210 Å, intensity 28

Crystal structure
Cell: 7.5836 7.5900 10.6301 Å, 90.00 90.00 90.00°
Space group Imma (No. 74)
Inequivalent atoms, fractional coordinates:
Lu  0.2500  0.2500  0.2500 x4
Mg  0.0000  0.2500  0.6268 x4
W  0.0000  0.0000  0.0000 x4
S  0.0000  0.0060  0.2353 x8
S  0.2214  0.2500  0.9987 x8

---

Record 7
The following is a computed powder X-ray diffraction pattern of LuMg2Sc. It was derived from a cell relaxed with PBE, using Cu Ka.
No peak broadening, texture or thermal motion is included.

Largest 6 diffraction maxima, in order of falling intensity, 2θ from 10° to 80°:
- (2 2 0), 2θ = 34.6°, 2.593 Å, intensity 100
- (1 1 1), 2θ = 21.0°, 4.235 Å, intensity 51
- (2 0 0), 2θ = 24.3°, 3.667 Å, intensity 47
- (4 2 2), 2θ = 62.0°, 1.497 Å, intensity 36
- (3 1 1), 2θ = 40.8°, 2.211 Å, intensity 29
- (4 2 0), 2θ = 56.1°, 1.640 Å, intensity 19

Crystal structure
Cell: 7.3345 7.3345 7.3345 Å, 90.00 90.00 90.00°
Space group Fm-3m (No. 225)
Inequivalent atoms, fractional coordinates:
Lu  0.0000  0.0000  0.0000 x4
Mg  0.2500  0.2500  0.2500 x8
Sc  0.0000  0.0000  0.5000 x4

---

Record 8
The following is a computed powder X-ray diffraction pattern of Lu2MgTc. It was derived from a cell relaxed with PBE, using Cu Ka.
No peak broadening, texture or thermal motion is included.

Largest 6 diffraction maxima, in order of falling intensity, 2θ from 10° to 80°:
- (2 2 0), 2θ = 36.3°, 2.474 Å, intensity 100
- (4 2 2), 2θ = 65.3°, 1.428 Å, intensity 36
- (2 0 0), 2θ = 25.5°, 3.499 Å, intensity 27
- (4 0 0), 2θ = 52.3°, 1.749 Å, intensity 18
- (4 4 0), 2θ = 77.1°, 1.237 Å, intensity 11
- (4 2 0), 2θ = 59.0°, 1.565 Å, intensity 11

Crystal structure
Cell: 6.9977 6.9977 6.9977 Å, 90.00 90.00 90.00°
Space group Fm-3m (No. 225)
Inequivalent atoms, fractional coordinates:
Lu  0.2500  0.2500  0.2500 x8
Mg  0.0000  0.0000  0.0000 x4
Tc  0.0000  0.0000  0.5000 x4